Diffraction record for K4MgV6O16. The X-ray powder pattern is theoretical, not measured: it uses the PBE+U geometry in Alexandria and Cu Kα, 1.54184 Å.

Atomic structure:
Cell: 5.5082 8.9682 9.0072 Å, 94.05 91.36 90.37°
Atoms (fractional coordinates):
K 0.0000 0.0000 0.0000
K 0.0010 0.4901 0.9093
K 0.0480 0.3967 0.2992
K 0.9649 0.8261 0.5769
Mg 0.0475 0.1897 0.5644
V 0.4947 0.6555 0.2223
V 0.5079 0.7604 0.8558
V 0.5141 0.1239 0.7214
V 0.5220 0.0391 0.3609
V 0.5432 0.2808 0.0753
V 0.5964 0.4676 0.5816
O 0.1916 0.0755 0.7184
O 0.1966 0.6471 0.1923
O 0.2045 0.7513 0.8406
O 0.2250 0.1031 0.3831
O 0.2398 0.2732 0.0599
O 0.3900 0.3330 0.6253
O 0.5184 0.5529 0.4204
O 0.5811 0.8422 0.3299
O 0.6090 0.7409 0.0384
O 0.6231 0.9262 0.7986
O 0.6358 0.6095 0.7340
O 0.6391 0.4641 0.1367
O 0.6516 0.1537 0.2067
O 0.6648 0.2351 0.8991
O 0.7047 0.0899 0.5362
O 0.8800 0.3905 0.5675

Main lines, sorted by position (5 to 70 degrees two-theta):
(hkl)	2θ/deg	d/Å	I/Imax
1 0 0	16.10	5.507	100
0 1 -2	21.50	4.133	56
1 2 -1	27.00	3.302	71
-1 2 1	27.82	3.207	56
1 2 1	28.31	3.152	85
2 0 0	32.52	2.753	77